This entry pairs a crystal structure of TbHfGa3 with its simulated powder diffractogram. Radiation: copper Kα. Structure: a cell relaxed with PBE.
Lines closer than 0.1° are merged.

Crystal structure
```
data_TbHfGa3
_cell_length_a 3.9875
_cell_length_b 25.0044
_cell_length_c 4.0401
_cell_angle_alpha 90.00
_cell_angle_beta 90.00
_cell_angle_gamma 90.00
_symmetry_space_group_name_H-M 'C m c m'
_symmetry_Int_Tables_number 63
_symmetry_space_group_name_Hall '-C 2c 2'
loop_
_atom_site_label
_atom_site_fract_x
_atom_site_fract_y
_atom_site_fract_z
Tb1 0.0000 0.0765 0.2500
Hf1 0.0000 0.2071 0.7500
Ga1 0.0000 0.3170 0.7500
Ga2 0.0000 0.3760 0.2500
Ga3 0.0000 0.4743 0.2500
```

Largest 10 diffraction maxima, low angle first, 2θ from 10° to 80°:
- hkl 0 4 1, d = 3.393 Å, 2θ = 26.26°, intensity 21
- hkl 1 3 1, d = 2.687 Å, 2θ = 33.35°, intensity 100
- hkl 1 7 0, d = 2.661 Å, 2θ = 33.69°, intensity 49
- hkl 0 10 1, d = 2.126 Å, 2θ = 42.52°, intensity 34
- hkl 0 0 2, d = 2.020 Å, 2θ = 44.87°, intensity 22
- hkl 2 0 0, d = 1.994 Å, 2θ = 45.49°, intensity 22
- hkl 1 7 2, d = 1.609 Å, 2θ = 57.26°, intensity 21
- hkl 2 10 1, d = 1.454 Å, 2θ = 64.02°, intensity 20
- hkl 2 0 2, d = 1.419 Å, 2θ = 65.81°, intensity 14
- hkl 1 3 3, d = 1.261 Å, 2θ = 75.36°, intensity 10